Entry 1:
Structure and theoretical X-ray diffraction stick pattern of K5CdO (a crystal structure in Alexandria, relaxed with GGA-PBE; Cu Kα (λ = 1.5418 Å)).
No peak broadening, texture or thermal motion is included.

Principal peaks in the range 2θ from 15° to 90°, by intensity:
| two_theta | intensity |
| --- | --- |
| 25.2 | 100 |
| 32.5 | 96 |
| 18.3 | 75 |
| 18.1 | 43 |
| 28.7 | 41 |
| 32.1 | 38 |
| 57.6 | 36 |
| 43.6 | 32 |
| 31.8 | 27 |
| 36.7 | 24 |
| 58.3 | 24 |
| 23.3 | 22 |

Cell and atoms:
```
data_K5CdO
_cell_length_a 9.800
_cell_length_b 12.440
_cell_length_c 5.574
_cell_angle_alpha 90.00
_cell_angle_beta 90.00
_cell_angle_gamma 90.00
_space_group_name_H-M_alt 'P 1'
_space_group_IT_number 1
_space_group_name_Hall 'P 1'
loop_
_atom_site_label
_atom_site_fract_x
_atom_site_fract_y
_atom_site_fract_z
K1 0.000 0.000 0.000
K2 0.000 0.211 0.498
K3 0.000 0.789 0.498
K4 0.233 0.500 0.002
K5 0.267 0.000 0.502
K6 0.500 0.289 0.998
K7 0.500 0.500 0.500
K8 0.500 0.711 0.998
K9 0.733 0.000 0.502
K10 0.767 0.500 0.002
Cd1 0.000 0.500 0.503
Cd2 0.500 0.000 0.003
O1 0.000 0.000 0.500
O2 0.500 0.500 0.000
```

Entry 2:
Structure and theoretical X-ray diffraction stick pattern of K5CdO3 (a crystal structure in Alexandria, relaxed with GGA-PBE; Cu Kα (λ = 1.5418 Å)).
No peak broadening, texture or thermal motion is included.

Principal peaks in the range 2θ from 15° to 90°, by intensity:
| two_theta | intensity |
| --- | --- |
| 29.6 | 100 |
| 30.9 | 82 |
| 19.2 | 42 |
| 28.6 | 33 |
| 45.4 | 32 |
| 49.7 | 26 |
| 15.4 | 26 |
| 33.5 | 23 |
| 40.5 | 22 |
| 31.0 | 22 |
| 28.8 | 18 |
| 26.7 | 16 |

Cell and atoms:
```
data_K5CdO3
_cell_length_a 6.261
_cell_length_b 3.994
_cell_length_c 18.675
_cell_angle_alpha 90.00
_cell_angle_beta 95.36
_cell_angle_gamma 90.00
_space_group_name_H-M_alt 'P 1'
_space_group_IT_number 1
_space_group_name_Hall 'P 1'
loop_
_atom_site_label
_atom_site_fract_x
_atom_site_fract_y
_atom_site_fract_z
K1 0.176 0.000 0.273
K2 0.179 0.000 0.932
K3 0.251 0.000 0.615
K4 0.275 0.500 0.442
K5 0.311 0.500 0.108
K6 0.689 0.500 0.892
K7 0.725 0.500 0.558
K8 0.749 0.000 0.385
K9 0.821 0.000 0.068
K10 0.824 0.000 0.727
Cd1 0.286 0.500 0.767
Cd2 0.714 0.500 0.233
O1 0.000 0.500 0.000
O2 0.044 0.500 0.673
O3 0.449 0.000 0.808
O4 0.500 0.000 0.500
O5 0.551 0.000 0.192
O6 0.956 0.500 0.327
```

Entry 3:
Structure and theoretical X-ray diffraction stick pattern of K2CdO (a crystal structure in Alexandria, relaxed with GGA-PBE; Cu Kα (λ = 1.5418 Å)).
No peak broadening, texture or thermal motion is included.

Principal peaks in the range 2θ from 15° to 90°, by intensity:
| two_theta | intensity |
| --- | --- |
| 26.5 | 100 |
| 27.4 | 86 |
| 41.3 | 45 |
| 21.3 | 30 |
| 30.3 | 28 |
| 15.5 | 22 |
| 48.8 | 22 |
| 34.2 | 22 |
| 51.7 | 19 |
| 36.1 | 18 |
| 56.4 | 15 |
| 52.9 | 14 |

Cell and atoms:
```
data_K2CdO
_cell_length_a 8.343
_cell_length_b 8.343
_cell_length_c 7.812
_cell_angle_alpha 90.00
_cell_angle_beta 90.00
_cell_angle_gamma 90.00
_space_group_name_H-M_alt 'P 1'
_space_group_IT_number 1
_space_group_name_Hall 'P 1'
loop_
_atom_site_label
_atom_site_fract_x
_atom_site_fract_y
_atom_site_fract_z
K1 0.128 0.250 0.125
K2 0.250 0.628 0.375
K3 0.250 0.872 0.875
K4 0.372 0.250 0.625
K5 0.628 0.750 0.625
K6 0.750 0.128 0.875
K7 0.750 0.372 0.375
K8 0.872 0.750 0.125
Cd1 0.000 0.000 0.500
Cd2 0.000 0.500 0.750
Cd3 0.500 0.000 0.250
Cd4 0.500 0.500 0.000
O1 0.000 0.000 0.000
O2 0.000 0.500 0.250
O3 0.500 0.000 0.750
O4 0.500 0.500 0.500
```

Entry 4:
Structure and theoretical X-ray diffraction stick pattern of K4CdO (a crystal structure in Alexandria, relaxed with GGA-PBE; Cu Kα (λ = 1.5418 Å)).
No peak broadening, texture or thermal motion is included.

Principal peaks in the range 2θ from 15° to 90°, by intensity:
| two_theta | intensity |
| --- | --- |
| 29.0 | 100 |
| 19.5 | 55 |
| 28.3 | 52 |
| 26.4 | 46 |
| 20.4 | 35 |
| 16.6 | 32 |
| 32.6 | 32 |
| 48.7 | 22 |
| 35.1 | 21 |
| 41.5 | 20 |
| 24.9 | 15 |
| 35.2 | 14 |

Cell and atoms:
```
data_K4CdO
_cell_length_a 11.055
_cell_length_b 11.055
_cell_length_c 8.698
_cell_angle_alpha 90.00
_cell_angle_beta 90.00
_cell_angle_gamma 151.22
_space_group_name_H-M_alt 'P 1'
_space_group_IT_number 1
_space_group_name_Hall 'P 1'
loop_
_atom_site_label
_atom_site_fract_x
_atom_site_fract_y
_atom_site_fract_z
K1 0.019 0.981 0.750
K2 0.175 0.825 0.035
K3 0.175 0.825 0.465
K4 0.406 0.594 0.750
K5 0.594 0.406 0.250
K6 0.825 0.175 0.535
K7 0.825 0.175 0.965
K8 0.981 0.019 0.250
Cd1 0.353 0.647 0.250
Cd2 0.647 0.353 0.750
O1 0.097 0.903 0.250
O2 0.903 0.097 0.750
```

Entry 5:
Structure and theoretical X-ray diffraction stick pattern of KPa3Cd4O12 (a crystal structure in Alexandria, relaxed with GGA-PBE; Cu Kα (λ = 1.5418 Å)).
No peak broadening, texture or thermal motion is included.

Principal peaks in the range 2θ from 15° to 90°, by intensity:
| two_theta | intensity |
| --- | --- |
| 27.5 | 100 |
| 31.8 | 56 |
| 24.4 | 53 |
| 28.6 | 44 |
| 48.2 | 30 |
| 51.4 | 27 |
| 55.7 | 22 |
| 47.9 | 21 |
| 36.2 | 19 |
| 37.3 | 19 |
| 52.8 | 16 |
| 61.0 | 14 |

Cell and atoms:
```
data_KPa3Cd4O12
_cell_length_a 7.702
_cell_length_b 7.702
_cell_length_c 7.702
_cell_angle_alpha 108.38
_cell_angle_beta 108.38
_cell_angle_gamma 108.38
_space_group_name_H-M_alt 'P 1'
_space_group_IT_number 1
_space_group_name_Hall 'P 1'
loop_
_atom_site_label
_atom_site_fract_x
_atom_site_fract_y
_atom_site_fract_z
K1 0.000 0.000 0.000
Pa1 0.000 0.555 0.445
Pa2 0.445 0.000 0.555
Pa3 0.555 0.445 0.000
Cd1 0.054 0.500 0.946
Cd2 0.500 0.500 0.500
Cd3 0.500 0.946 0.054
Cd4 0.946 0.054 0.500
O1 0.057 0.650 0.752
O2 0.118 0.882 0.500
O3 0.248 0.350 0.943
O4 0.331 0.669 0.500
O5 0.350 0.943 0.248
O6 0.500 0.118 0.882
O7 0.500 0.331 0.669
O8 0.650 0.752 0.057
O9 0.669 0.500 0.331
O10 0.752 0.057 0.650
O11 0.882 0.500 0.118
O12 0.943 0.248 0.350
```

Entry 6:
Structure and theoretical X-ray diffraction stick pattern of K2Cd2PbO4 (a crystal structure in Alexandria, relaxed with GGA-PBE; Cu Kα (λ = 1.5418 Å)).
No peak broadening, texture or thermal motion is included.

Principal peaks in the range 2θ from 15° to 90°, by intensity:
| two_theta | intensity |
| --- | --- |
| 30.2 | 100 |
| 32.8 | 97 |
| 29.3 | 71 |
| 50.8 | 50 |
| 37.7 | 43 |
| 31.2 | 38 |
| 44.0 | 36 |
| 35.5 | 24 |
| 57.5 | 23 |
| 48.3 | 22 |
| 38.0 | 21 |
| 28.1 | 18 |

Cell and atoms:
```
data_K2Cd2PbO4
_cell_length_a 6.663
_cell_length_b 6.663
_cell_length_c 9.235
_cell_angle_alpha 125.21
_cell_angle_beta 125.21
_cell_angle_gamma 32.87
_space_group_name_H-M_alt 'P 1'
_space_group_IT_number 1
_space_group_name_Hall 'P 1'
loop_
_atom_site_label
_atom_site_fract_x
_atom_site_fract_y
_atom_site_fract_z
K1 0.186 0.186 0.296
K2 0.814 0.814 0.704
Cd1 0.372 0.372 0.129
Cd2 0.628 0.628 0.871
Pb1 0.000 0.000 0.500
O1 0.221 0.221 0.833
O2 0.432 0.432 0.625
O3 0.568 0.568 0.375
O4 0.779 0.779 0.167
```